Li3Co4SnO8: calculated powder X-ray diffraction pattern (Cu Kα (weighted mean of Kα1 and Kα2)), based on a cell relaxed with PBE+U.

Largest 6 diffraction maxima, low angle first, 2θ from 10° to 90°:
2θ (°), d_spacing, Rel. int.
17.95, 4.941, 100.0
34.56, 2.595, 27.7
36.31, 2.474, 25.6
41.94, 2.154, 67.5
42.46, 2.129, 32.8
60.96, 1.520, 29.7

Structural model:
abc: 6.0810 6.1056 8.5158
angles: 89.40 89.92 89.98
Atoms (fractional coordinates):
Li 0.0000 0.0000 0.0000
Li 0.2492 0.2496 0.2506
Li 0.2494 0.7516 0.7497
Li 0.5000 0.5000 0.5000
Li 0.7506 0.2484 0.2503
Li 0.7508 0.7504 0.7494
Co 0.0000 0.5000 0.0000
Co 0.0000 0.5000 0.5000
Co 0.2497 0.2497 0.7499
Co 0.2496 0.7499 0.2490
Co 0.5000 0.0000 0.0000
Co 0.5000 0.0000 0.5000
Co 0.7504 0.2501 0.7510
Co 0.7503 0.7503 0.2501
Sn 0.0000 0.0000 0.5000
Sn 0.5000 0.5000 0.0000
O 0.0037 0.9919 0.2558
O 0.0195 0.5249 0.2520
O 0.2430 0.2426 0.5008
O 0.2442 0.7557 0.4982
O 0.2542 0.2592 0.9993
O 0.2564 0.7459 0.0013
O 0.4822 0.9753 0.2501
O 0.4964 0.5082 0.2434
O 0.5036 0.4918 0.7566
O 0.5178 0.0247 0.7499
O 0.7436 0.2541 0.9987
O 0.7458 0.7408 0.0007
O 0.7558 0.2443 0.5018
O 0.7570 0.7574 0.4992
O 0.9805 0.4751 0.7480
O 0.9963 0.0081 0.7442

Li4Co5SnO12: calculated powder X-ray diffraction pattern (Cu Kα (weighted mean of Kα1 and Kα2)), based on a cell relaxed with PBE+U.

Largest 6 diffraction maxima, low angle first, 2θ from 10° to 90°:
2θ (°), d_spacing, Rel. int.
18.05, 4.915, 100.0
35.94, 2.499, 21.0
37.41, 2.404, 19.1
43.42, 2.084, 28.1
47.11, 1.929, 18.8
56.97, 1.616, 10.9

Structural model:
abc: 5.0111 8.8315 10.8157
angles: 114.08 95.02 90.01
Atoms (fractional coordinates):
Li 0.2060 0.2881 0.2436
Li 0.2057 0.9551 0.2437
Li 0.2897 0.5434 0.7535
Li 0.2912 0.2094 0.7535
Li 0.7088 0.7906 0.2465
Li 0.7103 0.4566 0.2465
Li 0.7943 0.0449 0.7563
Li 0.7940 0.7119 0.7564
Co 0.0000 0.0000 0.0000
Co 0.0001 0.3390 0.0000
Co 0.9999 0.6610 0.0000
Co 0.2494 0.0830 0.4995
Co 0.2496 0.4165 0.4995
Co 0.5002 0.1642 0.9999
Co 0.5000 0.5000 0.0000
Co 0.4998 0.8358 0.0001
Co 0.7504 0.5835 0.5005
Co 0.7506 0.9170 0.5005
Sn 0.2508 0.7502 0.5003
Sn 0.7492 0.2498 0.4997
O 0.0528 0.5186 0.3927
O 0.0530 0.8742 0.3927
O 0.0864 0.1959 0.3916
O 0.1433 0.1334 0.8950
O 0.1430 0.7623 0.8950
O 0.1535 0.4499 0.9002
O 0.3349 0.0547 0.1090
O 0.3384 0.3874 0.1028
O 0.3381 0.7150 0.1030
O 0.4114 0.3037 0.6075
O 0.4467 0.6252 0.6080
O 0.4469 0.9827 0.6080
O 0.5531 0.0173 0.3920
O 0.5533 0.3748 0.3920
O 0.5886 0.6963 0.3925
O 0.6619 0.2850 0.8970
O 0.6616 0.6126 0.8972
O 0.6651 0.9453 0.8910
O 0.8465 0.5501 0.0998
O 0.8570 0.2377 0.1050
O 0.8567 0.8666 0.1050
O 0.9136 0.8041 0.6084
O 0.9470 0.1258 0.6073
O 0.9472 0.4814 0.6073

Li4Ti2Co3Sn3O16: calculated powder X-ray diffraction pattern (Cu Kα (weighted mean of Kα1 and Kα2)), based on a cell relaxed with PBE+U.

Largest 6 diffraction maxima, low angle first, 2θ from 10° to 90°:
2θ (°), d_spacing, Rel. int.
18.34, 4.837, 100.0
19.22, 4.618, 36.2
19.48, 4.557, 26.8
35.19, 2.550, 23.7
35.37, 2.538, 55.6
44.47, 2.037, 25.7

Structural model:
abc: 6.0258 10.6438 11.3049
angles: 116.76 104.60 90.35
Atoms (fractional coordinates):
Li 0.0000 0.0000 0.0000
Li 0.0038 0.7043 0.0979
Li 0.2403 0.5828 0.5112
Li 0.2716 0.9574 0.6072
Li 0.5010 0.5011 0.0009
Li 0.5072 0.2059 0.0982
Li 0.7395 0.0820 0.5110
Li 0.7722 0.4594 0.6077
Ti 0.0626 0.3908 0.0970
Ti 0.2999 0.3010 0.6034
Ti 0.5528 0.8907 0.0986
Ti 0.8043 0.8020 0.6030
Co 0.1461 0.1633 0.8233
Co 0.3924 0.2379 0.3261
Co 0.4093 0.9025 0.8273
Co 0.6433 0.6614 0.8217
Co 0.8909 0.7374 0.3221
Co 0.8986 0.4027 0.8255
Sn 0.1447 0.9925 0.3231
Sn 0.1521 0.6570 0.8231
Sn 0.4031 0.7391 0.3240
Sn 0.6516 0.4943 0.3242
Sn 0.6530 0.1552 0.8214
Sn 0.9036 0.2391 0.3223
O 0.0823 0.9130 0.7038
O 0.0831 0.4280 0.7072
O 0.0890 0.5927 0.1998
O 0.0934 0.0999 0.2066
O 0.1820 0.8669 0.4195
O 0.1866 0.3900 0.9593
O 0.2108 0.3704 0.4637
O 0.2463 0.8764 0.9564
O 0.3248 0.1763 0.7067
O 0.3324 0.3528 0.1997
O 0.3317 0.8432 0.1992
O 0.3611 0.6880 0.7167
O 0.4231 0.1155 0.9115
O 0.4281 0.1458 0.4633
O 0.4791 0.6428 0.4508
O 0.4788 0.6569 0.9456
O 0.5771 0.4133 0.7010
O 0.5870 0.9285 0.7045
O 0.5891 0.0914 0.1999
O 0.6008 0.6039 0.2093
O 0.6791 0.8915 0.9568
O 0.6918 0.3700 0.4211
O 0.7109 0.8704 0.4624
O 0.7485 0.3778 0.9516
O 0.8247 0.6767 0.7070
O 0.8281 0.8504 0.1973
O 0.8312 0.3427 0.1977
O 0.8648 0.1884 0.7170
O 0.9196 0.6154 0.9112
O 0.9319 0.6483 0.4635
O 0.9762 0.1431 0.4502
O 0.9786 0.1582 0.9464

Li4Ti3Co3Sn2O16: calculated powder X-ray diffraction pattern (Cu Kα (weighted mean of Kα1 and Kα2)), based on a cell relaxed with PBE+U.

Largest 6 diffraction maxima, low angle first, 2θ from 10° to 90°:
2θ (°), d_spacing, Rel. int.
19.61, 4.528, 100.0
19.83, 4.478, 56.9
25.24, 3.529, 34.8
32.64, 2.743, 43.0
35.81, 2.508, 57.9
59.63, 1.551, 35.1

Structural model:
abc: 5.8488 5.8488 9.7528
angles: 90.09 90.09 60.93
Atoms (fractional coordinates):
Li 0.0000 0.0000 0.0000
Li 0.0049 0.0049 0.5003
Li 0.3424 0.3424 0.4085
Li 0.6776 0.6776 0.8983
Ti 0.1782 0.1782 0.7222
Ti 0.3501 0.8420 0.2229
Ti 0.8420 0.3501 0.2229
Co 0.1782 0.6674 0.7214
Co 0.6674 0.1782 0.7214
Co 0.8344 0.8344 0.2193
Sn 0.3505 0.3505 0.9935
Sn 0.6763 0.6763 0.5035
O 0.0058 0.0058 0.3122
O 0.0056 0.0056 0.8139
O 0.0446 0.4918 0.8427
O 0.1751 0.1751 0.1097
O 0.1860 0.6853 0.1053
O 0.3266 0.8476 0.6111
O 0.3428 0.3428 0.6169
O 0.4918 0.0446 0.8427
O 0.4931 0.4931 0.8323
O 0.5048 0.9760 0.3551
O 0.5235 0.5235 0.3415
O 0.6688 0.6688 0.1114
O 0.6853 0.1860 0.1053
O 0.8476 0.3266 0.6111
O 0.8510 0.8510 0.6130
O 0.9760 0.5048 0.3551

Li4Ti2Co3Sn3O16: calculated powder X-ray diffraction pattern (Cu Kα (weighted mean of Kα1 and Kα2)), based on a cell relaxed with PBE+U.

Largest 6 diffraction maxima, low angle first, 2θ from 10° to 90°:
2θ (°), d_spacing, Rel. int.
18.35, 4.834, 100.0
19.14, 4.638, 99.6
24.96, 3.568, 37.1
34.76, 2.581, 42.1
35.17, 2.551, 82.2
44.29, 2.045, 65.0

Structural model:
abc: 6.1023 6.1023 9.6684
angles: 90.17 90.17 60.13
Atoms (fractional coordinates):
Li 0.0000 0.0000 0.0000
Li 0.0072 0.0072 0.4906
Li 0.3503 0.3503 0.5872
Li 0.6914 0.6914 0.0961
Ti 0.3592 0.3592 0.9961
Ti 0.6948 0.6948 0.4902
Co 0.1965 0.6732 0.2697
Co 0.6732 0.1965 0.2697
Co 0.8463 0.8463 0.7716
Sn 0.1888 0.1888 0.2768
Sn 0.3597 0.8476 0.7733
Sn 0.8476 0.3597 0.7733
O 0.0119 0.0119 0.1868
O 0.0157 0.0157 0.6781
O 0.0640 0.4996 0.1421
O 0.1835 0.1835 0.8971
O 0.1980 0.6738 0.9001
O 0.3545 0.8464 0.3940
O 0.3586 0.3586 0.3824
O 0.4962 0.4962 0.1472
O 0.4996 0.0640 0.1421
O 0.5307 0.5307 0.6461
O 0.5338 0.9736 0.6351
O 0.6738 0.1980 0.9001
O 0.6856 0.6856 0.8907
O 0.8446 0.8446 0.3909
O 0.8464 0.3545 0.3940
O 0.9736 0.5338 0.6351

Li4V3Co3Sn2O16: calculated powder X-ray diffraction pattern (Cu Kα (weighted mean of Kα1 and Kα2)), based on a cell relaxed with PBE+U.

Largest 6 diffraction maxima, low angle first, 2θ from 10° to 90°:
2θ (°), d_spacing, Rel. int.
19.36, 4.586, 100.0
19.50, 4.553, 66.7
25.00, 3.561, 36.4
35.08, 2.558, 37.5
35.23, 2.547, 36.9
35.55, 2.526, 40.2

Structural model:
abc: 5.9603 5.9699 9.7214
angles: 89.14 89.21 60.19
Atoms (fractional coordinates):
Li 0.0000 0.0000 0.0000
Li 0.0016 0.9957 0.4974
Li 0.3415 0.3268 0.9018
Li 0.6822 0.6652 0.3968
V 0.6620 0.1639 0.2228
V 0.8228 0.3380 0.7171
V 0.8317 0.8218 0.7248
Co 0.1775 0.6538 0.2193
Co 0.1817 0.1626 0.2147
Co 0.3441 0.8284 0.7148
Sn 0.3242 0.3448 0.4975
Sn 0.6650 0.6638 0.9998
O 0.0461 0.4887 0.3386
O 0.1424 0.1780 0.6060
O 0.1604 0.6811 0.6033
O 0.3173 0.8307 0.1030
O 0.3854 0.3055 0.1044
O 0.4877 0.4824 0.3357
O 0.5095 0.0368 0.3490
O 0.5291 0.9592 0.8472
O 0.5441 0.4916 0.8382
O 0.6734 0.1683 0.6060
O 0.7023 0.6642 0.6073
O 0.8282 0.3214 0.1072
O 0.8428 0.8354 0.1131
O 0.9716 0.5136 0.8451
O 0.9747 0.0168 0.3104
O 0.9805 0.9972 0.8113

Li4V3Co2Sn3O16: calculated powder X-ray diffraction pattern (Cu Kα (weighted mean of Kα1 and Kα2)), based on a cell relaxed with PBE+U.

Largest 6 diffraction maxima, low angle first, 2θ from 10° to 90°:
2θ (°), d_spacing, Rel. int.
18.04, 4.918, 100.0
18.92, 4.689, 45.3
19.07, 4.654, 59.1
34.45, 2.603, 30.8
35.14, 2.554, 31.9
44.04, 2.056, 34.0

Structural model:
abc: 6.0907 6.1349 9.8369
angles: 90.05 90.25 119.49
Atoms (fractional coordinates):
Li 0.0000 0.0000 0.0000
Li 0.0306 0.0186 0.4920
Li 0.3184 0.6595 0.8957
Li 0.6256 0.3215 0.3916
V 0.1195 0.7771 0.2339
V 0.1817 0.3247 0.1989
V 0.3350 0.1684 0.7173
Co 0.3346 0.6718 0.4954
Co 0.6723 0.3526 0.9945
Sn 0.6467 0.8447 0.2143
Sn 0.8264 0.6651 0.7126
Sn 0.8292 0.1721 0.7121
O 0.0004 0.5097 0.3335
O 0.0044 0.0070 0.3085
O 0.0051 0.0061 0.8174
O 0.1663 0.8496 0.6037
O 0.1781 0.3196 0.6069
O 0.2993 0.6607 0.1075
O 0.3219 0.1936 0.0975
O 0.4461 0.9649 0.3320
O 0.4541 0.5153 0.3325
O 0.4926 0.0352 0.8286
O 0.5071 0.4811 0.8333
O 0.6508 0.3311 0.5982
O 0.6917 0.8553 0.5911
O 0.8406 0.6920 0.1032
O 0.8464 0.1747 0.1010
O 0.9611 0.4802 0.8378

Li3Co3TeO8: calculated powder X-ray diffraction pattern (Cu Kα (weighted mean of Kα1 and Kα2)), based on a cell relaxed with PBE+U.

Largest 6 diffraction maxima, low angle first, 2θ from 10° to 90°:
2θ (°), d_spacing, Rel. int.
17.87, 4.962, 100.0
34.77, 2.580, 38.8
36.35, 2.472, 16.1
42.17, 2.143, 53.4
61.05, 1.518, 15.1
61.28, 1.513, 15.3

Structural model:
abc: 6.0714 6.0714 6.0714
angles: 59.77 59.77 59.77
Atoms (fractional coordinates):
Li 0.0000 0.5000 0.5000
Li 0.5000 0.0000 0.5000
Li 0.5000 0.5000 0.0000
Co 0.0000 0.0000 0.5000
Co 0.0000 0.5000 0.0000
Co 0.5000 0.0000 0.0000
Te 0.5000 0.5000 0.5000
O 0.2366 0.2366 0.2366
O 0.2714 0.2714 0.7290
O 0.2714 0.7290 0.2714
O 0.2710 0.7286 0.7286
O 0.7290 0.2714 0.2714
O 0.7286 0.2710 0.7286
O 0.7286 0.7286 0.2710
O 0.7634 0.7634 0.7634

Li4CoTeO6: calculated powder X-ray diffraction pattern (Cu Kα (weighted mean of Kα1 and Kα2)), based on a cell relaxed with PBE+U.

Largest 6 diffraction maxima, low angle first, 2θ from 10° to 90°:
2θ (°), d_spacing, Rel. int.
18.13, 4.892, 100.0
19.66, 4.515, 29.6
20.54, 4.324, 52.2
22.85, 3.892, 38.2
34.93, 2.568, 32.0
42.66, 2.119, 54.0

Structural model:
abc: 5.2259 5.2259 5.2275
angles: 100.22 100.22 119.53
Atoms (fractional coordinates):
Li 0.0000 0.0000 0.0000
Li 0.1645 0.8355 0.5000
Li 0.4963 0.5037 0.5000
Li 0.8373 0.1627 0.5000
Co 0.3317 0.6683 0.0000
Te 0.6658 0.3342 0.0000
O 0.0546 0.4175 0.2338
O 0.2858 0.2649 0.7642
O 0.4408 0.1016 0.2241
O 0.5825 0.9454 0.7662
O 0.7351 0.7142 0.2358
O 0.8984 0.5592 0.7759